# CsO2
Simulated powder XRD pattern, Cu Kα, 1.54184 Å. Input: a structure optimized by DFT (GGA-PBE).
Kinematic intensities with the Lorentz-polarization factor, no thermal factor.

Structure:
```
data_CsO2
_space_group_name_H-M_alt 'C m m m'
_space_group_IT_number 65
_space_group_name_Hall '-C 2 2'
_cell_length_a 4.8638
_cell_length_b 6.7111
_cell_length_c 4.0601
_cell_angle_alpha 90.00
_cell_angle_beta 90.00
_cell_angle_gamma 90.00
loop_
_atom_site_label
_atom_site_type_symbol
_atom_site_fract_x
_atom_site_fract_y
_atom_site_fract_z
_atom_site_occupancy
Cs1 Cs 0.0000 0.0000 0.0000 1
O1 O 0.0000 0.3986 0.5000 1
```

Principal peaks in the range 2θ = 5–70°, sorted by position:
| h k l | 2θ (°) | Rel. int. |
| --- | --- | --- |
| 0 0 1 | 21.9 | 22 |
| 1 1 0 | 22.6 | 48 |
| 0 2 0 | 26.6 | 31 |
| 1 1 1 | 31.7 | 100 |
| 0 2 1 | 34.7 | 23 |
| 2 0 0 | 37.0 | 17 |
| 0 0 2 | 44.6 | 25 |
| 1 3 1 | 50.2 | 16 |

# HoTmO3
Simulated powder XRD pattern, Cu Kα, 1.54184 Å. Input: a structure optimized by DFT (GGA-PBE).
Kinematic intensities with the Lorentz-polarization factor, no thermal factor.

Structure:
```
data_HoTmO3
_space_group_name_H-M_alt 'P n m a'
_space_group_IT_number 62
_space_group_name_Hall '-P 2ac 2n'
_cell_length_a 5.8777
_cell_length_b 8.3332
_cell_length_c 5.6068
_cell_angle_alpha 90.00
_cell_angle_beta 90.00
_cell_angle_gamma 90.00
loop_
_atom_site_label
_atom_site_type_symbol
_atom_site_fract_x
_atom_site_fract_y
_atom_site_fract_z
_atom_site_occupancy
Ho1 Ho 0.0537 0.2500 0.0181 1
Tm1 Tm 0.0000 0.0000 0.5000 1
O1 O 0.0776 0.7500 0.3513 1
O2 O 0.1858 0.5783 0.8175 1
```

Principal peaks in the range 2θ = 5–70°, sorted by position:
| h k l | 2θ (°) | Rel. int. |
| --- | --- | --- |
| 2 0 0 | 30.4 | 21 |
| 1 2 1 | 30.8 | 100 |
| 0 0 2 | 31.9 | 21 |
| 0 4 0 | 43.4 | 12 |
| 2 0 2 | 44.7 | 17 |
| 3 2 1 | 54.3 | 14 |
| 0 4 2 | 54.9 | 11 |
| 1 2 3 | 56.2 | 23 |

# KCoN
Simulated powder XRD pattern, Cu Kα, 1.54184 Å. Input: a structure optimized by DFT (GGA-PBE).
Kinematic intensities with the Lorentz-polarization factor, no thermal factor.

Structure:
```
data_KCoN
_space_group_name_H-M_alt 'P n m a'
_space_group_IT_number 62
_space_group_name_Hall '-P 2ac 2n'
_cell_length_a 10.2915
_cell_length_b 3.4800
_cell_length_c 6.3046
_cell_angle_alpha 90.00
_cell_angle_beta 90.00
_cell_angle_gamma 90.00
loop_
_atom_site_label
_atom_site_type_symbol
_atom_site_fract_x
_atom_site_fract_y
_atom_site_fract_z
_atom_site_occupancy
K1 K 0.1645 0.2500 0.0776 1
Co1 Co 0.0435 0.2500 0.6004 1
N1 N 0.0642 0.7500 0.6526 1
```

Principal peaks in the range 2θ = 5–70°, sorted by position:
| h k l | 2θ (°) | Rel. int. |
| --- | --- | --- |
| 1 0 1 | 16.5 | 76 |
| 2 0 0 | 17.2 | 47 |
| 3 0 1 | 29.6 | 100 |
| 2 1 0 | 31.0 | 38 |
| 4 0 1 | 37.8 | 22 |
| 1 1 2 | 39.6 | 53 |
| 5 1 1 | 53.7 | 24 |
| 3 2 1 | 61.5 | 23 |

# CeTlSe2
Simulated powder XRD pattern, Cu Kα, 1.54184 Å. Input: a structure optimized by DFT (GGA-PBE).
Kinematic intensities with the Lorentz-polarization factor, no thermal factor.

Structure:
```
data_CeTlSe2
_space_group_name_H-M_alt 'I 4/m c m'
_space_group_IT_number 140
_space_group_name_Hall '-I 4 2c'
_cell_length_a 7.7146
_cell_length_b 7.7146
_cell_length_c 7.8714
_cell_angle_alpha 90.00
_cell_angle_beta 90.00
_cell_angle_gamma 90.00
loop_
_atom_site_label
_atom_site_type_symbol
_atom_site_fract_x
_atom_site_fract_y
_atom_site_fract_z
_atom_site_occupancy
Ce1 Ce 0.0000 0.5000 0.2500 1
Tl1 Tl 0.0000 0.0000 0.2500 1
Se1 Se 0.1986 0.3014 0.0000 1
```

Principal peaks in the range 2θ = 5–70°, sorted by position:
| h k l | 2θ (°) | Rel. int. |
| --- | --- | --- |
| 2 0 0 | 23.1 | 24 |
| 2 1 1 | 28.2 | 11 |
| 2 0 2 | 32.5 | 100 |
| 2 2 0 | 32.8 | 43 |
| 2 2 2 | 40.2 | 15 |
| 4 0 0 | 47.1 | 12 |
| 2 2 4 | 57.8 | 17 |
| 4 2 2 | 58.4 | 24 |

# MgPt3
Simulated powder XRD pattern, Cu Kα, 1.54184 Å. Input: a structure optimized by DFT (GGA-PBE).
Kinematic intensities with the Lorentz-polarization factor, no thermal factor.

Structure:
```
data_MgPt3
_space_group_name_H-M_alt 'P m -3 m'
_space_group_IT_number 221
_space_group_name_Hall '-P 4 2 3'
_cell_length_a 3.9670
_cell_length_b 3.9670
_cell_length_c 3.9670
_cell_angle_alpha 90.00
_cell_angle_beta 90.00
_cell_angle_gamma 90.00
loop_
_atom_site_label
_atom_site_type_symbol
_atom_site_fract_x
_atom_site_fract_y
_atom_site_fract_z
_atom_site_occupancy
Mg1 Mg 0.0000 0.0000 0.0000 1
Pt1 Pt 0.0000 0.5000 0.5000 1
```

Principal peaks in the range 2θ = 5–70°, sorted by position:
| h k l | 2θ (°) | Rel. int. |
| --- | --- | --- |
| 1 0 0 | 22.4 | 24 |
| 1 1 0 | 31.9 | 20 |
| 1 1 1 | 39.3 | 100 |
| 2 0 0 | 45.7 | 49 |
| 2 1 0 | 51.5 | 11 |
| 2 1 1 | 56.9 | 8 |
| 2 2 0 | 66.7 | 32 |

# Li4UO5
Simulated powder XRD pattern, Cu Kα, 1.54184 Å. Input: a structure optimized by DFT (GGA-PBE).
Kinematic intensities with the Lorentz-polarization factor, no thermal factor.

Structure:
```
data_Li4UO5
_space_group_name_H-M_alt 'I 4/m'
_space_group_IT_number 87
_space_group_name_Hall '-I 4'
_cell_length_a 6.7865
_cell_length_b 6.7865
_cell_length_c 4.4616
_cell_angle_alpha 90.00
_cell_angle_beta 90.00
_cell_angle_gamma 90.00
loop_
_atom_site_label
_atom_site_type_symbol
_atom_site_fract_x
_atom_site_fract_y
_atom_site_fract_z
_atom_site_occupancy
Li1 Li 0.0837 0.6865 0.0000 1
U1 U 0.0000 0.0000 0.5000 1
O1 O 0.0000 0.0000 0.0000 1
O2 O 0.0869 0.7134 0.5000 1
```

Principal peaks in the range 2θ = 5–70°, sorted by position:
| h k l | 2θ (°) | Rel. int. |
| --- | --- | --- |
| 1 1 0 | 18.5 | 88 |
| 1 0 1 | 23.9 | 100 |
| 2 0 0 | 26.3 | 40 |
| 2 1 1 | 35.8 | 52 |
| 3 1 0 | 42.1 | 34 |
| 1 1 2 | 44.8 | 19 |
| 3 2 1 | 52.8 | 23 |
| 3 1 2 | 59.8 | 24 |

# MgTi2Si2Ag4O10
Simulated powder XRD pattern, Cu Kα, 1.54184 Å. Input: a structure optimized by DFT (GGA-PBE).
Kinematic intensities with the Lorentz-polarization factor, no thermal factor.

Structure:
```
data_MgTi2Si2Ag4O10
_space_group_name_H-M_alt 'P -4 m 2'
_space_group_IT_number 115
_space_group_name_Hall 'P -4 -2'
_cell_length_a 6.6421
_cell_length_b 6.6421
_cell_length_c 5.8691
_cell_angle_alpha 90.00
_cell_angle_beta 90.00
_cell_angle_gamma 90.00
loop_
_atom_site_label
_atom_site_type_symbol
_atom_site_fract_x
_atom_site_fract_y
_atom_site_fract_z
_atom_site_occupancy
Mg1 Mg 0.0000 0.0000 0.0000 1
Ti1 Ti 0.0000 0.5000 0.4203 1
Si1 Si 0.0000 0.0000 0.5000 1
Si2 Si 0.5000 0.5000 0.5000 1
Ag1 Ag 0.2889 0.2889 0.0000 1
O1 O 0.0000 0.1955 0.3224 1
O2 O 0.0000 0.5000 0.7079 1
O3 O 0.2926 0.5000 0.3445 1
```

Principal peaks in the range 2θ = 5–70°, sorted by position:
| h k l | 2θ (°) | Rel. int. |
| --- | --- | --- |
| 0 0 1 | 15.1 | 29 |
| 0 0 2 | 30.5 | 22 |
| 2 0 1 | 30.9 | 100 |
| 2 2 0 | 38.3 | 20 |
| 2 0 2 | 41.0 | 14 |
| 2 2 1 | 41.4 | 13 |
| 3 0 1 | 43.7 | 16 |
| 2 2 2 | 49.7 | 23 |

# CrFe2N3
Simulated powder XRD pattern, Cu Kα, 1.54184 Å. Input: a structure optimized by DFT (GGA-PBE).
Kinematic intensities with the Lorentz-polarization factor, no thermal factor.

Structure:
```
data_CrFe2N3
_space_group_name_H-M_alt 'C 1 2/c 1'
_space_group_IT_number 15
_space_group_name_Hall '-C 2yc'
_cell_length_a 5.1036
_cell_length_b 8.6756
_cell_length_c 9.9214
_cell_angle_alpha 90.00
_cell_angle_beta 98.30
_cell_angle_gamma 90.00
loop_
_atom_site_label
_atom_site_type_symbol
_atom_site_fract_x
_atom_site_fract_y
_atom_site_fract_z
_atom_site_occupancy
Cr1 Cr 0.2028 0.0512 0.3475 1
Fe1 Fe 0.1679 0.3748 0.9454 1
Fe2 Fe 0.2485 0.3531 0.3135 1
N1 N 0.0000 0.2025 0.2500 1
N2 N 0.0000 0.4718 0.7500 1
N3 N 0.1172 0.1629 0.8771 1
N4 N 0.1672 0.3973 0.4823 1
```

Principal peaks in the range 2θ = 5–70°, sorted by position:
| h k l | 2θ (°) | Rel. int. |
| --- | --- | --- |
| 1 1 -3 | 32.1 | 100 |
| 0 2 3 | 34.3 | 35 |
| 2 0 0 | 35.6 | 69 |
| 2 2 -1 | 41.2 | 24 |
| 1 3 2 | 41.6 | 93 |
| 0 4 1 | 42.7 | 28 |
| 1 3 -3 | 43.9 | 26 |
| 1 1 -6 | 57.7 | 36 |

# Ce3Sb5Pd6
Simulated powder XRD pattern, Cu Kα, 1.54184 Å. Input: a structure optimized by DFT (GGA-PBE).
Kinematic intensities with the Lorentz-polarization factor, no thermal factor.

Structure:
```
data_Ce3Sb5Pd6
_space_group_name_H-M_alt 'P m m n'
_space_group_IT_number 59
_cell_length_a 4.4888
_cell_length_b 13.5986
_cell_length_c 10.1380
_cell_angle_alpha 90.00
_cell_angle_beta 90.00
_cell_angle_gamma 90.00
loop_
_space_group_symop_operation_xyz
'x,y,z'
'-x,-y,-z'
'-x+1/2,-y+1/2,z'
'x+1/2,y+1/2,-z'
'x+1/2,-y,-z'
'-x+1/2,y,z'
'-x,y+1/2,-z'
'x,-y+1/2,z'
loop_
_atom_site_label
_atom_site_type_symbol
_atom_site_fract_x
_atom_site_fract_y
_atom_site_fract_z
_atom_site_occupancy
Ce1 Ce 0.2500 0.0754 0.2458 1
Ce2 Ce 0.2500 0.7500 0.2430 1
Sb1 Sb 0.2500 0.0865 0.8619 1
Sb2 Sb 0.2500 0.6237 0.5236 1
Sb3 Sb 0.2500 0.7500 0.8291 1
Pd1 Pd 0.2500 0.0675 0.6036 1
Pd2 Pd 0.2500 0.2500 0.0155 1
Pd3 Pd 0.2500 0.2500 0.4768 1
Pd4 Pd 0.2500 0.5889 0.9916 1
```

Principal peaks in the range 2θ = 5–70°, sorted by position:
| h k l | 2θ (°) | Rel. int. |
| --- | --- | --- |
| 0 3 3 | 33.1 | 17 |
| 1 3 2 | 33.2 | 100 |
| 0 6 0 | 39.8 | 26 |
| 2 0 0 | 40.2 | 29 |
| 1 3 4 | 45.7 | 10 |
| 2 3 3 | 53.0 | 9 |
| 2 6 0 | 57.8 | 13 |
| 3 3 2 | 68.6 | 12 |

# NbInPb2O6
Simulated powder XRD pattern, Cu Kα, 1.54184 Å. Input: a structure optimized by DFT (GGA-PBE).
Kinematic intensities with the Lorentz-polarization factor, no thermal factor.

Structure:
```
data_NbInPb2O6
_space_group_name_H-M_alt 'F m -3 m'
_space_group_IT_number 225
_space_group_name_Hall '-F 4 2 3'
_cell_length_a 8.3089
_cell_length_b 8.3089
_cell_length_c 8.3089
_cell_angle_alpha 90.00
_cell_angle_beta 90.00
_cell_angle_gamma 90.00
loop_
_atom_site_label
_atom_site_type_symbol
_atom_site_fract_x
_atom_site_fract_y
_atom_site_fract_z
_atom_site_occupancy
Nb1 Nb 0.0000 0.0000 0.0000 1
In1 In 0.0000 0.0000 0.5000 1
Pb1 Pb 0.2500 0.2500 0.2500 1
O1 O 0.0000 0.0000 0.2415 1
```

Principal peaks in the range 2θ = 5–70°, sorted by position:
| h k l | 2θ (°) | Rel. int. |
| --- | --- | --- |
| 2 0 0 | 21.4 | 8 |
| 2 2 0 | 30.4 | 100 |
| 2 2 2 | 37.5 | 10 |
| 4 0 0 | 43.6 | 28 |
| 4 2 0 | 49.0 | 5 |
| 4 2 2 | 54.1 | 41 |
| 4 4 0 | 63.3 | 18 |
| 4 4 2 | 67.7 | 3 |